For AcHoMgRu, a structure optimized by DFT (PBE) gives the simulated powder X-ray diffraction pattern in this record (Cu Ka).
Kinematic intensities with the Lorentz-polarization factor, no thermal factor.

Main lines, by intensity (10 to 90 degrees two-theta):
d_spacing  I_rel
2.621  100
1.513  38
3.706  29
1.853  18
1.172  16
1.657  13
1.310  12
2.140  9

```
AcHoMgRu
1.0
0.0000 3.7061 3.7061
3.7061 0.0000 3.7061
3.7061 3.7061 0.0000
Ac Ho Mg Ru
1 1 1 1
Direct
0.0000 0.0000 0.0000
0.5000 0.5000 0.5000
0.7500 0.7500 0.7500
0.2500 0.2500 0.2500
```

***

For AcHo2MoN4, a structure optimized by DFT (PBE) gives the simulated powder X-ray diffraction pattern in this record (Cu Ka).
Kinematic intensities with the Lorentz-polarization factor, no thermal factor.

Main lines, by intensity (10 to 90 degrees two-theta):
d_spacing  I_rel
2.924  100
2.412  41
2.575  37
3.327  36
2.989  31
3.024  25
1.771  23
1.778  17

```
AcHo2MoN4
1.0
1.7432 -6.0473 0.0000
1.7432 6.0473 0.0000
0.0000 0.0000 11.9544
Ac Ho Mo N
2 4 2 8
Direct
0.0833 0.9167 0.7500
0.9167 0.0833 0.2500
0.3706 0.6294 0.5408
0.3706 0.6294 0.9592
0.6294 0.3706 0.0408
0.6294 0.3706 0.4592
0.1761 0.8239 0.2500
0.8239 0.1761 0.7500
0.0000 0.0000 0.0000
0.0000 0.0000 0.5000
0.2613 0.7387 0.1151
0.2613 0.7387 0.3849
0.4213 0.5787 0.7500
0.5787 0.4213 0.2500
0.7387 0.2613 0.6151
0.7387 0.2613 0.8849
```